K4LiAu3: theoretical PXRD pattern (Cu Ka), based on DFT lattice parameters and positions (PBE).

Cell and atoms:
Lattice parameters (Å, degrees): 12.9906 12.9906 5.8817 90.00 90.00 90.00
Space group I4/mcm (No. 140)
Unique sites:
K1 0.0867 0.2229 0.0000
Li1 0.0000 0.5000 0.2500
Au1 0.0000 0.0000 0.2500
Au2 0.1293 0.3707 0.5000

Main lines, low angle first (2θ = 5–70°):
d_spacing  I_rel  (hkl)
4.133  79  2 1 1
4.108  100  3 1 0
3.072  91  3 2 1
2.905  29  4 2 0
2.801  37  1 1 2
2.548  36  5 1 0
2.232  39  5 2 1
2.180  49  4 0 2
2.121  24  3 3 2
1.558  34  7 1 2

Tm12Co2Pb5: theoretical PXRD pattern (Cu Ka), based on DFT lattice parameters and positions (PBE).

Cell and atoms:
Lattice parameters (Å, degrees): 16.8833 7.4707 9.5988 90.00 106.29 90.00
Space group C2/m (No. 12)
Unique sites:
Tm1 0.0029 0.0000 0.2307
Tm2 0.0025 0.5000 0.8328
Tm3 0.1441 0.2395 0.5700
Tm4 0.1537 0.2378 0.0807
Co1 0.0000 0.2044 0.0000
Pb1 0.0000 0.5000 0.5000
Pb2 0.1954 0.0000 0.8406
Pb3 0.2052 0.0000 0.3616

Main lines, low angle first (2θ = 5–70°):
d_spacing  I_rel  (hkl)
4.377  56  3 1 0
4.038  60  1 1 -2
2.900  100  2 2 -2
2.746  93  4 2 0
2.701  52  6 0 0
2.588  81  4 2 -2
2.400  49  2 0 -4
2.211  34  1 3 -2
1.868  32  0 4 0
1.487  27  10 2 0